Starting from a GGA-PBE-relaxed structure, the powder XRD pattern of Na2CdSeI was computed for CuKα.
Intensities are scaled so that the largest is 100.

Structural model:
```
data_Na2CdSeI
_cell_length_a 5.6382
_cell_length_b 5.6382
_cell_length_c 5.4197
_cell_angle_alpha 90.00
_cell_angle_beta 90.00
_cell_angle_gamma 90.00
_symmetry_space_group_name_H-M 'P 1'
_symmetry_Int_Tables_number 1
loop_
_symmetry_equiv_pos_as_xyz
'x,y,z'
loop_
_atom_site_label
_atom_site_fract_x
_atom_site_fract_y
_atom_site_fract_z
Na1 0.0000 0.5000 0.0000
Na2 0.5000 0.0000 0.0000
Cd1 0.0000 0.0000 0.5000
Se1 0.0000 0.0000 0.0000
I1 0.5000 0.5000 0.5000
```

Top 10 peaks for 10° ≤ 2θ ≤ 80°, by angle:
d/Å  2θ/deg  I (rel.)
3.987  22.3  100
3.907  22.8  21
3.211  27.8  69
2.819  31.7  76
2.710  33.1  34
2.241  40.2  42
1.993  45.5  27
1.954  46.5  51
1.606  57.4  27
1.489  62.3  23

***

Starting from a GGA-PBE-relaxed structure, the powder XRD pattern of CeTm3Cu4 was computed for CuKα.
Intensities are scaled so that the largest is 100.

Structural model:
```
data_CeTm3Cu4
_cell_length_a 4.8782
_cell_length_b 4.8782
_cell_length_c 6.8772
_cell_angle_alpha 90.00
_cell_angle_beta 90.00
_cell_angle_gamma 90.00
_symmetry_space_group_name_H-M 'P 1'
_symmetry_Int_Tables_number 1
loop_
_symmetry_equiv_pos_as_xyz
'x,y,z'
loop_
_atom_site_label
_atom_site_fract_x
_atom_site_fract_y
_atom_site_fract_z
Ce1 0.0000 0.0000 0.0000
Tm1 0.0000 0.0000 0.5000
Tm2 0.5000 0.5000 0.0000
Tm3 0.5000 0.5000 0.5000
Cu1 0.0000 0.5000 0.2592
Cu2 0.0000 0.5000 0.7408
Cu3 0.5000 0.0000 0.2592
Cu4 0.5000 0.0000 0.7408
```

Top 10 peaks for 10° ≤ 2θ ≤ 80°, by angle:
d/Å  2θ/deg  I (rel.)
3.446  25.9  20
2.437  36.9  100
1.989  45.6  6
1.725  53.1  12
1.719  53.3  6
1.542  60.0  6
1.407  66.4  23
1.405  66.5  11
1.220  78.4  4
1.218  78.6  7

***

Starting from a GGA-PBE-relaxed structure, the powder XRD pattern of PrPC was computed for CuKα.
Intensities are scaled so that the largest is 100.

Structural model:
```
data_PrPC
_cell_length_a 4.1268
_cell_length_b 4.1268
_cell_length_c 8.6997
_cell_angle_alpha 100.18
_cell_angle_beta 100.18
_cell_angle_gamma 44.59
_symmetry_space_group_name_H-M 'P 1'
_symmetry_Int_Tables_number 1
loop_
_symmetry_equiv_pos_as_xyz
'x,y,z'
loop_
_atom_site_label
_atom_site_fract_x
_atom_site_fract_y
_atom_site_fract_z
Pr1 0.0305 0.0305 0.1986
Pr2 0.9695 0.9695 0.8014
P1 0.2012 0.2012 0.5668
P2 0.7988 0.7988 0.4332
C1 0.2904 0.2904 0.0181
C2 0.7096 0.7096 0.9819
```

Top 10 peaks for 10° ≤ 2θ ≤ 80°, by angle:
d/Å  2θ/deg  I (rel.)
4.270  20.8  39
3.748  23.7  41
3.702  24.0  42
2.889  31.0  100
2.847  31.4  30
2.583  34.7  53
2.509  35.8  40
2.315  38.9  55
2.107  42.9  48
1.969  46.1  33

***

Starting from a GGA-PBE-relaxed structure, the powder XRD pattern of In3Ru was computed for CuKα.
Intensities are scaled so that the largest is 100.

Structural model:
```
data_In3Ru
_cell_length_a 7.0843
_cell_length_b 7.0843
_cell_length_c 7.3457
_cell_angle_alpha 90.00
_cell_angle_beta 90.00
_cell_angle_gamma 90.00
_symmetry_space_group_name_H-M 'P 1'
_symmetry_Int_Tables_number 1
loop_
_symmetry_equiv_pos_as_xyz
'x,y,z'
loop_
_atom_site_label
_atom_site_fract_x
_atom_site_fract_y
_atom_site_fract_z
In1 0.0000 0.5000 0.0000
In2 0.0000 0.5000 0.5000
In3 0.1559 0.1559 0.2372
In4 0.1559 0.1559 0.7628
In5 0.3441 0.6559 0.2628
In6 0.3441 0.6559 0.7372
In7 0.5000 0.0000 0.0000
In8 0.5000 0.0000 0.5000
In9 0.6559 0.3441 0.2628
In10 0.6559 0.3441 0.7372
In11 0.8441 0.8441 0.2372
In12 0.8441 0.8441 0.7628
Ru1 0.1549 0.8451 0.0000
Ru2 0.3451 0.3451 0.5000
Ru3 0.6549 0.6549 0.5000
Ru4 0.8451 0.1549 0.0000
```

Top 10 peaks for 10° ≤ 2θ ≤ 80°, by angle:
d/Å  2θ/deg  I (rel.)
5.099  17.4  25
3.168  28.2  16
2.962  30.2  33
2.550  35.2  25
2.399  37.5  100
2.240  40.3  56
1.836  49.6  16
1.556  59.4  14
1.420  65.8  24
1.238  77.0  16

***

Starting from a GGA-PBE-relaxed structure, the powder XRD pattern of Ac2SbO6 was computed for CuKα.
Intensities are scaled so that the largest is 100.

Structural model:
```
data_Ac2SbO6
_cell_length_a 5.8858
_cell_length_b 6.5366
_cell_length_c 9.4985
_cell_angle_alpha 90.00
_cell_angle_beta 121.84
_cell_angle_gamma 90.00
_symmetry_space_group_name_H-M 'P 1'
_symmetry_Int_Tables_number 1
loop_
_symmetry_equiv_pos_as_xyz
'x,y,z'
loop_
_atom_site_label
_atom_site_fract_x
_atom_site_fract_y
_atom_site_fract_z
Ac1 0.2127 0.0840 0.2483
Ac2 0.2127 0.4160 0.7483
Ac3 0.7873 0.5840 0.2517
Ac4 0.7873 0.9160 0.7517
Sb1 0.5000 0.0000 0.0000
Sb2 0.5000 0.5000 0.5000
O1 0.1660 0.1463 0.9508
O2 0.1660 0.3537 0.4508
O3 0.2905 0.7336 0.9260
O4 0.2905 0.7664 0.4260
O5 0.4106 0.0624 0.7716
O6 0.4106 0.4376 0.2716
O7 0.5894 0.5624 0.7284
O8 0.5894 0.9376 0.2284
O9 0.7095 0.2336 0.5740
O10 0.7095 0.2664 0.0740
O11 0.8340 0.6463 0.5492
O12 0.8340 0.8537 0.0492
```

Top 10 peaks for 10° ≤ 2θ ≤ 80°, by angle:
d/Å  2θ/deg  I (rel.)
5.079  17.5  35
4.360  20.4  59
4.035  22.0  41
3.971  22.4  40
3.713  24.0  33
3.087  28.9  100
3.029  29.5  53
2.926  30.6  46
2.849  31.4  86
1.997  45.4  33

***

Starting from a GGA-PBE-relaxed structure, the powder XRD pattern of SrNiGePt6 was computed for CuKα.
Intensities are scaled so that the largest is 100.

Structural model:
```
data_SrNiGePt6
_cell_length_a 8.0718
_cell_length_b 8.0718
_cell_length_c 8.0718
_cell_angle_alpha 123.58
_cell_angle_beta 116.39
_cell_angle_gamma 90.14
_symmetry_space_group_name_H-M 'P 1'
_symmetry_Int_Tables_number 1
loop_
_symmetry_equiv_pos_as_xyz
'x,y,z'
loop_
_atom_site_label
_atom_site_fract_x
_atom_site_fract_y
_atom_site_fract_z
Sr1 0.3880 0.1380 0.2500
Sr2 0.6120 0.8620 0.7500
Ni1 0.0000 0.0000 0.5000
Ni2 0.0000 0.5000 0.0000
Ge1 0.0000 0.5000 0.5000
Ge2 0.5000 0.5000 0.0000
Pt1 0.1103 0.3753 0.2329
Pt2 0.1103 0.8774 0.7350
Pt3 0.1273 0.8773 0.2500
Pt4 0.3540 0.6040 0.7500
Pt5 0.3577 0.1226 0.7329
Pt6 0.3577 0.6247 0.2350
Pt7 0.6424 0.3753 0.7650
Pt8 0.6424 0.8774 0.2671
Pt9 0.6460 0.3960 0.2500
Pt10 0.8727 0.1227 0.7500
Pt11 0.8897 0.1226 0.2650
Pt12 0.8897 0.6247 0.7671
```

Top 10 peaks for 10° ≤ 2θ ≤ 80°, by angle:
d/Å  2θ/deg  I (rel.)
4.024  22.1  30
2.850  31.4  43
2.841  31.5  87
2.127  42.5  29
2.012  45.1  100
1.908  47.7  23
1.705  53.8  17
1.585  58.2  15
1.420  65.7  16
1.205  79.6  16

***

Starting from a GGA-PBE-relaxed structure, the powder XRD pattern of Ba6SiS2Br3 was computed for CuKα.
Intensities are scaled so that the largest is 100.

Structural model:
```
data_Ba6SiS2Br3
_cell_length_a 8.0985
_cell_length_b 8.0985
_cell_length_c 8.3549
_cell_angle_alpha 99.28
_cell_angle_beta 99.28
_cell_angle_gamma 120.01
_symmetry_space_group_name_H-M 'P 1'
_symmetry_Int_Tables_number 1
loop_
_symmetry_equiv_pos_as_xyz
'x,y,z'
loop_
_atom_site_label
_atom_site_fract_x
_atom_site_fract_y
_atom_site_fract_z
Ba1 0.0941 0.4275 0.7822
Ba2 0.2395 0.2395 0.2185
Ba3 0.4275 0.0941 0.7822
Ba4 0.5725 0.9059 0.2178
Ba5 0.7605 0.7605 0.7815
Ba6 0.9059 0.5725 0.2178
Si1 0.5000 0.5000 0.0000
S1 0.1665 0.8335 0.0000
S2 0.8335 0.1665 0.0000
Br1 0.0000 0.0000 0.5000
Br2 0.3336 0.6664 0.5000
Br3 0.6664 0.3336 0.5000
```

Top 10 peaks for 10° ≤ 2θ ≤ 80°, by angle:
d/Å  2θ/deg  I (rel.)
3.832  23.2  21
3.344  26.7  100
3.080  29.0  11
2.393  37.6  34
2.338  38.5  39
1.916  47.5  20
1.672  54.9  11
1.510  61.4  12
1.482  62.7  17
1.360  69.1  11

***

Starting from a GGA-PBE-relaxed structure, the powder XRD pattern of SrVAu was computed for CuKα.
Intensities are scaled so that the largest is 100.

Structural model:
```
data_SrVAu
_cell_length_a 3.7668
_cell_length_b 3.7668
_cell_length_c 10.4502
_cell_angle_alpha 90.00
_cell_angle_beta 90.00
_cell_angle_gamma 90.00
_symmetry_space_group_name_H-M 'P 1'
_symmetry_Int_Tables_number 1
loop_
_symmetry_equiv_pos_as_xyz
'x,y,z'
loop_
_atom_site_label
_atom_site_fract_x
_atom_site_fract_y
_atom_site_fract_z
Sr1 0.0000 0.0000 0.1857
Sr2 0.0000 0.0000 0.8143
V1 0.5000 0.5000 0.4110
V2 0.5000 0.5000 0.5890
Au1 0.0000 0.0000 0.5000
Au2 0.5000 0.5000 0.0000
```

Top 10 peaks for 10° ≤ 2θ ≤ 80°, by angle:
d/Å  2θ/deg  I (rel.)
5.225  17.0  44
3.544  25.1  40
3.056  29.2  14
2.664  33.6  77
2.557  35.1  100
2.373  37.9  25
1.883  48.3  28
1.865  48.8  13
1.828  49.9  12
1.517  61.1  40